Entry 1:
This entry pairs a crystal structure of Pm2P3Pd6 with its simulated X-ray powder pattern. Radiation: copper Kα. Structure: a GGA-PBE-relaxed structure.

Atomic structure:
a = 7.362 Å, b = 7.362 Å, c = 4.175 Å
α = 90.00°, β = 90.00°, γ = 120.00°
Fractional positions:
Pm  0.333  0.667  0.000
Pm  0.667  0.333  0.000
P  0.000  0.365  0.500
P  0.365  0.000  0.500
P  0.635  0.635  0.500
Pd  0.000  0.213  0.000
Pd  0.000  0.689  0.500
Pd  0.213  0.000  0.000
Pd  0.311  0.311  0.500
Pd  0.689  0.000  0.500
Pd  0.787  0.787  0.000

Top 6 peaks for 2θ from 5° to 70°, low angle first:
hkl  2theta  Rel. int.
2 0 0  28.0  14
1 1 1  32.4  100
2 1 0  37.3  23
3 0 0  42.5  30
0 0 2  43.4  72
3 0 2  62.3  19

Entry 2:
This entry pairs a crystal structure of Gd2CoSi2Os with its simulated X-ray powder pattern. Radiation: copper Kα. Structure: a GGA-PBE-relaxed structure.

Atomic structure:
a = 4.070 Å, b = 4.070 Å, c = 6.762 Å
α = 90.00°, β = 90.00°, γ = 90.00°
Fractional positions:
Gd  0.000  0.500  0.176
Gd  0.500  0.000  0.824
Co  0.000  0.000  0.500
Si  0.000  0.500  0.688
Si  0.500  0.000  0.312
Os  0.500  0.500  0.500

Top 6 peaks for 2θ from 5° to 70°, low angle first:
hkl  2theta  Rel. int.
1 0 1  25.5  99
1 1 1  33.9  100
1 0 2  34.5  70
1 1 2  41.2  99
2 0 0  44.5  66
2 0 3  61.4  34

Entry 3:
This entry pairs a crystal structure of Sm4O5 with its simulated X-ray powder pattern. Radiation: copper Kα. Structure: a GGA-PBE-relaxed structure.

Atomic structure:
a = 4.123 Å, b = 4.123 Å, c = 8.870 Å
α = 90.00°, β = 90.00°, γ = 90.00°
Fractional positions:
Sm  0.000  0.000  0.000
Sm  0.000  0.000  0.500
Sm  0.500  0.500  0.245
Sm  0.500  0.500  0.755
O  0.000  0.500  0.150
O  0.000  0.500  0.850
O  0.500  0.000  0.150
O  0.500  0.000  0.850
O  0.500  0.500  0.500

Top 6 peaks for 2θ from 5° to 70°, low angle first:
hkl  2theta  Rel. int.
1 0 2  29.6  100
1 1 0  30.7  40
2 0 0  43.9  23
1 1 4  51.8  27
2 1 2  53.8  38
2 0 4  61.4  12